Structure and calculated X-ray diffraction stick pattern of NaFeSnO4 (a cell relaxed with GGA+U; Cu Ka).

Atomic structure:
```
data_NaFeSnO4
_chemical_formula_sum 'Na4 Fe4 Sn4 O16'
_space_group_name_H-M_alt 'P m c 21'
_space_group_IT_number 26
_cell_length_a 3.102
_cell_length_b 11.030
_cell_length_c 9.348
_cell_angle_alpha 90.00
_cell_angle_beta 90.00
_cell_angle_gamma 90.00
loop_
_space_group_symop_operation_xyz
'x,y,z'
'-x,-y,z+1/2'
'-x,y,z'
'x,-y,z+1/2'
loop_
_atom_site_label
_atom_site_type_symbol
_atom_site_fract_x
_atom_site_fract_y
_atom_site_fract_z
Na1 Na 0.000 0.092 0.000
Na2 Na 0.500 0.394 0.512
Fe1 Fe 0.500 0.143 0.677
Fe2 Fe 0.500 0.365 0.190
Sn1 Sn 0.000 0.137 0.321
Sn2 Sn 0.000 0.348 0.837
O1 O 0.000 0.036 0.727
O2 O 0.000 0.255 0.640
O3 O 0.000 0.328 0.331
O4 O 0.000 0.403 0.049
O5 O 0.500 0.094 0.465
O6 O 0.500 0.179 0.176
O7 O 0.500 0.220 0.868
O8 O 0.500 0.462 0.772
```

Principal peaks in the range 2θ = 5–70°, in order of rising 2θ:
18.68°, rel. 73, hkl 0 2 1
18.99°, rel. 69, hkl 0 0 2
32.47°, rel. 45, hkl 0 4 0
33.02°, rel. 84, hkl 0 2 3
34.53°, rel. 100, hkl 1 2 1
34.70°, rel. 46, hkl 1 0 2

Structure and calculated X-ray diffraction stick pattern of NaSr2FeO4 (a cell relaxed with GGA+U; Cu Ka).

Atomic structure:
```
data_NaSr2FeO4
_chemical_formula_sum 'Na4 Sr8 Fe4 O16'
_space_group_name_H-M_alt 'C 1 2/c 1'
_space_group_IT_number 15
_cell_length_a 9.767
_cell_length_b 9.504
_cell_length_c 6.900
_cell_angle_alpha 90.00
_cell_angle_beta 134.79
_cell_angle_gamma 90.00
loop_
_space_group_symop_operation_xyz
'x,y,z'
'-x,-y,-z'
'-x,y,-z+1/2'
'x,-y,z+1/2'
'x+1/2,y+1/2,z'
'-x+1/2,-y+1/2,-z'
'-x+1/2,y+1/2,-z+1/2'
'x+1/2,-y+1/2,z+1/2'
loop_
_atom_site_label
_atom_site_type_symbol
_atom_site_fract_x
_atom_site_fract_y
_atom_site_fract_z
Na1 Na 0.250 0.250 0.000
Sr1 Sr 0.000 0.000 0.000
Sr2 Sr 0.250 0.250 0.500
Fe1 Fe 0.000 0.500 0.000
O1 O 0.000 0.289 0.002
O2 O 0.231 0.496 0.982
```

Principal peaks in the range 2θ = 5–70°, in order of rising 2θ:
15.87°, rel. 29, hkl 1 1 -1
32.01°, rel. 100, hkl 2 2 0
36.70°, rel. 47, hkl 0 0 2
36.81°, rel. 46, hkl 4 0 -2
37.87°, rel. 39, hkl 0 4 0
53.80°, rel. 52, hkl 0 4 2

Structure and calculated X-ray diffraction stick pattern of NaFeTc2O8 (a cell relaxed with GGA+U; Cu Ka).

Atomic structure:
```
data_NaFeTc2O8
_chemical_formula_sum 'Na1 Fe1 Tc2 O8'
_space_group_name_H-M_alt 'P -3 m 1'
_space_group_IT_number 164
_space_group_name_Hall '-P 3 2"'
_cell_length_a 5.8143
_cell_length_b 5.8143
_cell_length_c 6.4756
_cell_angle_alpha 90.00
_cell_angle_beta 90.00
_cell_angle_gamma 120.00
loop_
_atom_site_label
_atom_site_type_symbol
_atom_site_fract_x
_atom_site_fract_y
_atom_site_fract_z
Na1 Na 0.0000 0.0000 0.0000
Fe1 Fe 0.0000 0.0000 0.5000
Tc1 Tc 0.3333 0.6667 0.2187
O1 O 0.1659 0.3319 0.3037
O2 O 0.3333 0.6667 0.9506
```

Principal peaks in the range 2θ = 5–70°, in order of rising 2θ:
22.37°, rel. 100, hkl 1 0 1
30.76°, rel. 42, hkl 1 1 0
32.89°, rel. 20, hkl 0 1 2
45.68°, rel. 28, hkl 2 0 2
49.95°, rel. 21, hkl 2 1 1
56.07°, rel. 12, hkl 1 2 2

Structure and calculated X-ray diffraction stick pattern of NaFe2TeO6 (a cell relaxed with GGA+U; Cu Ka).

Atomic structure:
```
data_NaFe2TeO6
_chemical_formula_sum 'Na1 Fe2 Te1 O6'
_space_group_name_H-M_alt 'P 1'
_space_group_IT_number 1
_cell_length_a 5.192
_cell_length_b 5.200
_cell_length_c 5.756
_cell_angle_alpha 115.42
_cell_angle_beta 90.73
_cell_angle_gamma 119.90
loop_
_space_group_symop_operation_xyz
'x,y,z'
loop_
_atom_site_label
_atom_site_type_symbol
_atom_site_fract_x
_atom_site_fract_y
_atom_site_fract_z
Na1 Na 0.000 0.000 0.000
Fe1 Fe 0.278 0.550 0.835
Fe2 Fe 0.796 0.589 0.392
Te1 Te 0.479 0.953 0.431
O1 O 0.079 0.738 0.186
O2 O 0.211 0.771 0.634
O3 O 0.451 0.531 0.178
O4 O 0.572 0.420 0.630
O5 O 0.669 0.118 0.190
O6 O 0.856 0.049 0.628
```

Principal peaks in the range 2θ = 5–70°, in order of rising 2θ:
17.82°, rel. 60, hkl 0 0 1
30.77°, rel. 34, hkl -1 1 1
31.15°, rel. 34, hkl 1 0 1
31.47°, rel. 30, hkl 0 1 -2
34.51°, rel. 100, hkl 1 1 -1
39.33°, rel. 30, hkl 2 -1 1

Structure and calculated X-ray diffraction stick pattern of Na2FeTeO6 (a cell relaxed with GGA+U; Cu Ka).

Atomic structure:
```
data_Na2FeTeO6
_chemical_formula_sum 'Na4 Fe2 Te2 O12'
_space_group_name_H-M_alt 'P 1 21/c 1'
_space_group_IT_number 14
_cell_length_a 5.473
_cell_length_b 5.521
_cell_length_c 9.517
_cell_angle_alpha 90.00
_cell_angle_beta 125.06
_cell_angle_gamma 90.00
loop_
_space_group_symop_operation_xyz
'x,y,z'
'-x,-y,-z'
'-x,y+1/2,-z+1/2'
'x,-y+1/2,z+1/2'
loop_
_atom_site_label
_atom_site_type_symbol
_atom_site_fract_x
_atom_site_fract_y
_atom_site_fract_z
Na1 Na 0.246 0.024 0.250
Fe1 Fe 0.000 0.000 0.500
Te1 Te 0.500 0.000 0.000
O1 O 0.185 0.205 0.968
O2 O 0.263 0.717 0.967
O3 O 0.320 0.015 0.756
```

Principal peaks in the range 2θ = 5–70°, in order of rising 2θ:
22.86°, rel. 100, hkl 0 0 2
32.43°, rel. 21, hkl 0 2 0
32.54°, rel. 78, hkl 1 1 1
46.74°, rel. 31, hkl 2 2 -2
52.61°, rel. 19, hkl 1 1 -5
57.93°, rel. 25, hkl 0 2 4

Structure and calculated X-ray diffraction stick pattern of NaFeTe2O8 (a cell relaxed with GGA+U; Cu Ka).

Atomic structure:
```
data_NaFeTe2O8
_chemical_formula_sum 'Na1 Fe1 Te2 O8'
_space_group_name_H-M_alt 'P -3'
_space_group_IT_number 147
_cell_length_a 5.4344
_cell_length_b 5.4344
_cell_length_c 6.6287
_cell_angle_alpha 90.00
_cell_angle_beta 90.00
_cell_angle_gamma 120.00
loop_
_space_group_symop_operation_xyz
'x,y,z'
'-x,-y,-z'
'-y,x-y,z'
'y,-x+y,-z'
'-x+y,-x,z'
'x-y,x,-z'
loop_
_atom_site_label
_atom_site_type_symbol
_atom_site_fract_x
_atom_site_fract_y
_atom_site_fract_z
Na1 Na 0.0000 0.0000 0.0000
Fe1 Fe 0.0000 0.0000 0.5000
Te1 Te 0.3333 0.6667 0.4205
O1 O 0.0705 0.3576 0.6253
O2 O 0.3333 0.6667 0.1438
```

Principal peaks in the range 2θ = 5–70°, in order of rising 2θ:
13.36°, rel. 100, hkl 0 0 1
23.18°, rel. 28, hkl 0 1 1
32.99°, rel. 49, hkl 1 1 0
35.71°, rel. 24, hkl 2 -1 1
43.05°, rel. 16, hkl 2 -1 2
58.89°, rel. 18, hkl 3 0 0

Structure and calculated X-ray diffraction stick pattern of Na3TiFe3O8 (a cell relaxed with GGA+U; Cu Ka).

Atomic structure:
```
data_Na3TiFe3O8
_chemical_formula_sum 'Na3 Ti1 Fe3 O8'
_space_group_name_H-M_alt 'P 1 2/m 1'
_space_group_IT_number 10
_cell_length_a 5.283
_cell_length_b 5.979
_cell_length_c 5.826
_cell_angle_alpha 90.00
_cell_angle_beta 108.86
_cell_angle_gamma 90.00
loop_
_space_group_symop_operation_xyz
'x,y,z'
'-x,-y,-z'
'-x,y,-z'
'x,-y,z'
loop_
_atom_site_label
_atom_site_type_symbol
_atom_site_fract_x
_atom_site_fract_y
_atom_site_fract_z
Na1 Na 0.000 0.000 0.000
Na2 Na 0.500 0.258 0.000
Ti1 Ti 0.500 0.500 0.500
Fe1 Fe 0.000 0.247 0.500
Fe2 Fe 0.500 0.000 0.500
O1 O 0.226 0.000 0.706
O2 O 0.246 0.500 0.687
O3 O 0.278 0.249 0.311
```

Principal peaks in the range 2θ = 5–70°, in order of rising 2θ:
16.08°, rel. 100, hkl 0 0 1
36.08°, rel. 18, hkl 1 2 -1
40.11°, rel. 38, hkl 2 0 -2
41.20°, rel. 70, hkl 1 2 1
56.56°, rel. 20, hkl 1 2 -3
61.08°, rel. 19, hkl 3 2 -1

Structure and calculated X-ray diffraction stick pattern of NaTiFeO4 (a cell relaxed with GGA+U; Cu Ka).

Atomic structure:
```
data_NaTiFeO4
_chemical_formula_sum 'Na4 Ti4 Fe4 O16'
_space_group_name_H-M_alt 'P m c 21'
_space_group_IT_number 26
_cell_length_a 2.991
_cell_length_b 10.844
_cell_length_c 9.291
_cell_angle_alpha 90.00
_cell_angle_beta 90.00
_cell_angle_gamma 90.00
loop_
_space_group_symop_operation_xyz
'x,y,z'
'-x,-y,z+1/2'
'-x,y,z'
'x,-y,z+1/2'
loop_
_atom_site_label
_atom_site_type_symbol
_atom_site_fract_x
_atom_site_fract_y
_atom_site_fract_z
Na1 Na 0.000 0.095 0.000
Na2 Na 0.500 0.400 0.515
Ti1 Ti 0.000 0.137 0.320
Ti2 Ti 0.000 0.354 0.843
Fe1 Fe 0.500 0.146 0.678
Fe2 Fe 0.500 0.362 0.192
O1 O 0.000 0.031 0.737
O2 O 0.000 0.271 0.651
O3 O 0.000 0.317 0.333
O4 O 0.000 0.402 0.049
O5 O 0.500 0.101 0.458
O6 O 0.500 0.172 0.183
O7 O 0.500 0.236 0.879
O8 O 0.500 0.464 0.786
```

Principal peaks in the range 2θ = 5–70°, in order of rising 2θ:
18.95°, rel. 37, hkl 0 2 1
19.10°, rel. 52, hkl 0 0 2
33.04°, rel. 46, hkl 0 4 0
33.32°, rel. 79, hkl 0 2 3
35.65°, rel. 100, hkl 1 2 1
49.44°, rel. 40, hkl 1 4 2

Structure and calculated X-ray diffraction stick pattern of NaYFe4O12 (a cell relaxed with GGA+U; Cu Ka).

Atomic structure:
```
data_NaYFe4O12
_chemical_formula_sum 'Na1 Y1 Fe4 O12'
_space_group_name_H-M_alt 'P 4/m m m'
_space_group_IT_number 123
_space_group_name_Hall '-P 4 2'
_cell_length_a 5.360
_cell_length_b 5.360
_cell_length_c 7.602
_cell_angle_alpha 90.00
_cell_angle_beta 90.00
_cell_angle_gamma 90.00
loop_
_atom_site_label
_atom_site_type_symbol
_atom_site_fract_x
_atom_site_fract_y
_atom_site_fract_z
Na1 Na 0.000 0.000 0.000
Y1 Y 0.500 0.500 0.500
Fe1 Fe 0.000 0.500 0.246
O1 O 0.000 0.500 0.000
O2 O 0.000 0.500 0.500
O3 O 0.261 0.261 0.268
```

Principal peaks in the range 2θ = 5–70°, in order of rising 2θ:
20.27°, rel. 40, hkl 1 0 1
23.45°, rel. 58, hkl 1 1 0
33.40°, rel. 100, hkl 2 0 0
39.39°, rel. 20, hkl 2 1 1
48.01°, rel. 40, hkl 2 2 0
59.70°, rel. 38, hkl 2 0 4